1.
Starting from a PBE-relaxed structure, the powder XRD pattern of YMgOs was computed for λ = 1.5418 Å (Cu Kα).
Neutral-atom scattering factors, no anomalous dispersion.

Peak list (10 most intense, 5 to 70 degrees two-theta, in order of rising 2θ)
- (1 1 1), 20.5°, d 4.327, I = 100
- (0 0 2), 23.2°, d 3.830, I = 33
- (2 0 0), 30.8°, d 2.906, I = 41
- (1 3 2), 35.8°, d 2.510, I = 25
- (0 2 3), 38.2°, d 2.354, I = 26
- (2 0 2), 38.9°, d 2.315, I = 31
- (1 1 3), 39.2°, d 2.296, I = 22
- (1 5 1), 42.0°, d 2.152, I = 68
- (2 2 3), 49.9°, d 1.829, I = 21
- (3 5 1), 62.5°, d 1.486, I = 24

Atomic structure:
abc: 5.813 12.153 7.661
angles: 90.00 90.00 90.00
Space group Cmce (No. 64)
One atom of each set of equivalent atoms:
Y: 0.000 0.189 0.106 x8
Mg: 0.250 0.055 0.750 x8
Os: 0.000 0.099 0.462 x8

2.
Starting from a PBE-relaxed structure, the powder XRD pattern of NpMnFe was computed for λ = 1.5418 Å (Cu Kα).
Neutral-atom scattering factors, no anomalous dispersion.

Peak list (10 most intense, 5 to 70 degrees two-theta, in order of rising 2θ)
- (0 0 2), 14.5°, d 6.091, I = 58
- (0 0 4), 29.3°, d 3.046, I = 33
- (1 0 1), 35.8°, d 2.509, I = 49
- (1 0 3), 41.7°, d 2.168, I = 100
- (0 0 6), 44.6°, d 2.030, I = 17
- (1 1 0), 50.3°, d 1.813, I = 31
- (1 1 2), 52.7°, d 1.738, I = 11
- (1 1 4), 59.3°, d 1.558, I = 19
- (1 0 7), 64.7°, d 1.440, I = 21
- (1 1 6), 69.5°, d 1.353, I = 18

Atomic structure:
abc: 2.564 2.564 12.183
angles: 90.00 90.00 90.00
Space group I4mm (No. 107)
One atom of each set of equivalent atoms:
Np: 0.000 0.000 0.000 x2
Mn: 0.000 0.000 0.693 x2
Fe: 0.000 0.000 0.311 x2

3.
Starting from a PBE-relaxed structure, the powder XRD pattern of BiRhPb3 was computed for λ = 1.5418 Å (Cu Kα).
Neutral-atom scattering factors, no anomalous dispersion.

Peak list (10 most intense, 5 to 70 degrees two-theta, in order of rising 2θ)
- (0 0 6), 27.3°, d 3.267, I = 31
- (1 1 5), 28.3°, d 3.158, I = 31
- (2 0 2), 29.0°, d 3.083, I = 29
- (1 3 1), 32.3°, d 2.776, I = 25
- (2 0 4), 33.1°, d 2.707, I = 38
- (1 3 3), 34.8°, d 2.576, I = 100
- (1 1 7), 36.2°, d 2.479, I = 49
- (2 2 4), 38.4°, d 2.341, I = 73
- (0 4 4), 43.0°, d 2.105, I = 26
- (3 3 3), 53.4°, d 1.715, I = 26

Atomic structure:
abc: 6.496 9.324 19.602
angles: 90.00 90.00 90.00
Space group F222 (No. 22)
One atom of each set of equivalent atoms:
Bi: 0.000 0.000 0.242 x8
Rh: 0.000 0.000 0.000 x4
Rh: 0.250 0.250 0.750 x4
Pb: 0.227 0.082 0.608 x16
Pb: 0.250 0.250 0.047 x8

4.
Starting from a PBE-relaxed structure, the powder XRD pattern of Ce3Nd3ScSe8 was computed for λ = 1.5418 Å (Cu Kα).
Neutral-atom scattering factors, no anomalous dispersion.

Peak list (10 most intense, 5 to 70 degrees two-theta, in order of rising 2θ)
- (2 0 0), 14.9°, d 5.940, I = 13
- (0 2 0), 21.2°, d 4.200, I = 11
- (0 0 2), 26.0°, d 3.430, I = 6
- (4 0 0), 30.1°, d 2.970, I = 100
- (3 1 1), 33.7°, d 2.657, I = 8
- (4 2 0), 37.0°, d 2.426, I = 4
- (2 2 2), 43.1°, d 2.100, I = 73
- (4 4 0), 53.4°, d 1.716, I = 19
- (8 0 -4), 53.6°, d 1.711, I = 6
- (8 0 0), 62.5°, d 1.485, I = 12

Atomic structure:
abc: 14.525 8.409 8.392
angles: 90.00 125.12 90.00
Space group C2/m (No. 12)
One atom of each set of equivalent atoms:
Ce: 0.000 0.000 0.000 x2
Ce: 0.250 0.250 0.500 x4
Nd: 0.000 0.500 0.500 x2
Nd: 0.250 0.250 0.000 x4
Sc: 0.000 0.500 0.000 x2
Se: 0.000 0.262 0.237 x8
Se: 0.237 0.500 0.238 x4
Se: 0.249 0.000 0.249 x4

5.
Starting from a PBE-relaxed structure, the powder XRD pattern of Sr3Ta2 was computed for λ = 1.5418 Å (Cu Kα).
Neutral-atom scattering factors, no anomalous dispersion.

Peak list (10 most intense, 5 to 70 degrees two-theta, in order of rising 2θ)
- (0 0 1), 10.4°, d 8.546, I = 100
- (1 0 0), 20.0°, d 4.432, I = 18
- (1 0 2), 29.0°, d 3.076, I = 45
- (1 1 0), 35.1°, d 2.559, I = 54
- (1 1 1), 36.7°, d 2.451, I = 31
- (0 1 3), 37.5°, d 2.396, I = 24
- (0 2 2), 46.1°, d 1.967, I = 13
- (1 1 3), 47.8°, d 1.904, I = 22
- (1 0 5), 57.8°, d 1.595, I = 12
- (2 1 2), 59.2°, d 1.560, I = 12

Atomic structure:
abc: 5.1179 5.1179 8.5457
angles: 90.00 90.00 120.00
Space group P-3m1 (No. 164)
One atom of each set of equivalent atoms:
Sr: 0.0000 0.0000 0.0000 x1
Sr: 0.3333 0.6667 0.3180 x2
Ta: 0.3333 0.6667 0.9449 x2

6.
Starting from a PBE-relaxed structure, the powder XRD pattern of Dy2Sc13 was computed for λ = 1.5418 Å (Cu Kα).
Neutral-atom scattering factors, no anomalous dispersion.

Peak list (10 most intense, 5 to 70 degrees two-theta, in order of rising 2θ)
- (0 0 1), 11.7°, d 7.554, I = 35
- (1 0 0), 14.8°, d 5.995, I = 21
- (1 0 1), 17.9°, d 4.965, I = 21
- (1 2 2), 27.6°, d 3.233, I = 28
- (2 1 2), 34.0°, d 2.636, I = 49
- (1 3 1), 34.2°, d 2.620, I = 100
- (1 -2 1), 34.3°, d 2.612, I = 52
- (1 1 -2), 34.5°, d 2.598, I = 59
- (-2 1 1), 34.8°, d 2.578, I = 61
- (-1 4 2), 49.6°, d 1.839, I = 27

Atomic structure:
abc: 6.097 8.284 8.310
angles: 66.15 80.96 81.49
Space group P-1 (No. 2)
One atom of each set of equivalent atoms:
Dy: 0.085 0.301 0.420 x2
Sc: 0.000 0.500 0.000 x1
Sc: 0.111 0.949 0.748 x2
Sc: 0.192 0.716 0.182 x2
Sc: 0.289 0.121 0.987 x2
Sc: 0.340 0.440 0.658 x2
Sc: 0.395 0.902 0.399 x2
Sc: 0.485 0.669 0.840 x2

7.
Starting from a PBE-relaxed structure, the powder XRD pattern of Li2AlCu8 was computed for λ = 1.5418 Å (Cu Kα).
Neutral-atom scattering factors, no anomalous dispersion.

Peak list (10 most intense, 5 to 70 degrees two-theta, in order of rising 2θ)
- (1 1 0), 26.6°, d 3.357, I = 16
- (1 1 2), 31.1°, d 2.875, I = 18
- (1 0 3), 33.0°, d 2.718, I = 27
- (1 1 4), 42.2°, d 2.144, I = 27
- (1 2 3), 44.3°, d 2.047, I = 100
- (0 3 1), 44.4°, d 2.038, I = 23
- (2 0 0), 45.5°, d 1.994, I = 32
- (0 0 6), 49.0°, d 1.857, I = 17
- (2 3 1), 65.5°, d 1.425, I = 13
- (2 0 6), 69.1°, d 1.359, I = 12

Atomic structure:
abc: 3.988 6.220 11.144
angles: 90.00 90.00 90.00
Space group Immm (No. 71)
One atom of each set of equivalent atoms:
Li: 0.000 0.000 0.205 x4
Al: 0.000 0.000 0.500 x2
Cu: 0.000 0.202 0.000 x4
Cu: 0.000 0.295 0.354 x8
Cu: 0.000 0.500 0.154 x4

8.
Starting from a PBE-relaxed structure, the powder XRD pattern of Dy4Te3S was computed for λ = 1.5418 Å (Cu Kα).
Neutral-atom scattering factors, no anomalous dispersion.

Peak list (10 most intense, 5 to 70 degrees two-theta, in order of rising 2θ)
- (1 2 1), 25.6°, d 3.481, I = 11
- (0 0 2), 28.0°, d 3.186, I = 37
- (2 0 0), 30.4°, d 2.939, I = 100
- (1 2 2), 35.5°, d 2.529, I = 53
- (2 0 2), 41.8°, d 2.160, I = 49
- (2 4 0), 43.5°, d 2.078, I = 36
- (2 4 2), 52.6°, d 1.741, I = 24
- (3 2 2), 57.4°, d 1.606, I = 25
- (1 2 4), 62.4°, d 1.487, I = 25
- (4 0 0), 63.3°, d 1.469, I = 6

Atomic structure:
abc: 5.874 11.767 6.371
angles: 90.00 90.00 90.00
Space group Pmmn (No. 59, origin choice 2)
One atom of each set of equivalent atoms:
Dy: 0.250 0.017 0.188 x4
Dy: 0.250 0.250 0.809 x2
Dy: 0.250 0.750 0.812 x2
Te: 0.250 0.000 0.702 x4
Te: 0.250 0.750 0.301 x2
S: 0.250 0.250 0.238 x2

9.
Starting from a PBE-relaxed structure, the powder XRD pattern of TaGaNi was computed for λ = 1.5418 Å (Cu Kα).
Neutral-atom scattering factors, no anomalous dispersion.

Peak list (10 most intense, 5 to 70 degrees two-theta, in order of rising 2θ)
- (1 0 0), 23.7°, d 3.757, I = 16
- (0 1 1), 27.8°, d 3.211, I = 14
- (1 1 -1), 33.0°, d 2.718, I = 11
- (1 1 1), 40.4°, d 2.234, I = 100
- (2 0 -1), 45.4°, d 1.996, I = 19
- (0 2 0), 46.1°, d 1.969, I = 18
- (0 0 3), 49.3°, d 1.849, I = 12
- (2 2 -1), 66.7°, d 1.402, I = 12
- (2 0 2), 69.3°, d 1.357, I = 8
- (0 2 3), 69.8°, d 1.348, I = 8

Atomic structure:
abc: 3.992 3.938 5.894
angles: 90.00 109.74 90.00
Space group P2_1/m (No. 11)
One atom of each set of equivalent atoms:
Ta: 0.092 0.250 0.186 x2
Ga: 0.397 0.250 0.795 x2
Ni: 0.258 0.750 0.514 x2

10.
Starting from a PBE-relaxed structure, the powder XRD pattern of Ca6AuN was computed for λ = 1.5418 Å (Cu Kα).
Neutral-atom scattering factors, no anomalous dispersion.

Peak list (10 most intense, 5 to 70 degrees two-theta, in order of rising 2θ)
- (1 1 0), 15.3°, d 5.774, I = 48
- (0 2 0), 15.6°, d 5.693, I = 68
- (1 1 -1), 18.2°, d 4.880, I = 85
- (0 2 1), 20.9°, d 4.248, I = 30
- (1 1 1), 23.0°, d 3.860, I = 41
- (1 3 0), 27.0°, d 3.302, I = 40
- (1 1 -2), 28.7°, d 3.114, I = 39
- (2 2 -1), 30.9°, d 2.892, I = 43
- (1 3 1), 32.1°, d 2.785, I = 100
- (2 0 -2), 33.2°, d 2.701, I = 34

Atomic structure:
abc: 6.955 11.386 6.624
angles: 90.00 105.58 90.00
Space group C2/m (No. 12)
One atom of each set of equivalent atoms:
Ca: 0.188 0.154 0.238 x8
Ca: 0.249 0.500 0.197 x4
Au: 0.000 0.500 0.500 x2
N: 0.000 0.000 0.000 x2

11.
Starting from a PBE-relaxed structure, the powder XRD pattern of Nd2ErPuP4 was computed for λ = 1.5418 Å (Cu Kα).
Neutral-atom scattering factors, no anomalous dispersion.

Peak list (10 most intense, 5 to 70 degrees two-theta, in order of rising 2θ)
- (0 0 1), 13.3°, d 6.645, I = 7
- (0 0 2), 26.8°, d 3.324, I = 92
- (1 1 1), 31.1°, d 2.878, I = 100
- (0 2 0), 44.5°, d 2.037, I = 37
- (3 1 -1), 44.6°, d 2.033, I = 37
- (1 1 3), 52.7°, d 1.737, I = 27
- (3 1 1), 52.8°, d 1.734, I = 19
- (2 2 -2), 55.2°, d 1.663, I = 19
- (4 0 0), 55.4°, d 1.658, I = 6
- (2 2 2), 64.7°, d 1.440, I = 8

Atomic structure:
abc: 7.036 4.078 7.052
angles: 90.00 109.47 90.00
Space group P2/m (No. 10)
One atom of each set of equivalent atoms:
Nd: 0.000 0.000 0.000 x1
Nd: 0.500 0.500 0.000 x1
Er: 0.000 0.500 0.500 x1
Pu: 0.500 0.000 0.500 x1
P: 0.247 0.000 0.737 x2
P: 0.256 0.500 0.265 x2

12.
Starting from a PBE-relaxed structure, the powder XRD pattern of Ce2CrC2 was computed for λ = 1.5418 Å (Cu Kα).
Neutral-atom scattering factors, no anomalous dispersion.

Peak list (10 most intense, 5 to 70 degrees two-theta, in order of rising 2θ)
- (1 1 -1), 21.8°, d 4.078, I = 26
- (3 1 -1), 29.7°, d 3.004, I = 48
- (2 0 1), 30.3°, d 2.949, I = 40
- (3 1 0), 33.1°, d 2.709, I = 98
- (1 1 -2), 33.2°, d 2.699, I = 100
- (0 2 0), 34.1°, d 2.632, I = 86
- (4 0 -2), 35.1°, d 2.557, I = 57
- (2 2 1), 46.2°, d 1.964, I = 25
- (4 2 -2), 49.7°, d 1.834, I = 42
- (1 3 -2), 60.4°, d 1.533, I = 36

Atomic structure:
abc: 11.001 5.264 6.478
angles: 90.00 120.50 90.00
Space group C2/m (No. 12)
One atom of each set of equivalent atoms:
Ce: 0.037 0.000 0.302 x4
Ce: 0.188 0.500 0.141 x4
Cr: 0.134 0.500 0.628 x4
C: 0.006 0.500 0.279 x4
C: 0.180 0.000 0.107 x4